(1)
Theoretical powder diffraction line list of Sm4GeS2 for Cu Kα, from DFT lattice parameters and positions (PBE).
No peak broadening, texture or thermal motion is included.

Structure:
```
Sm4GeS2
1.0
7.238 0.000 0.000
0.000 11.989 0.000
0.000 0.000 4.197
Sm Ge S
8 2 4
Cartesian
0.886 2.618 0.000 Sm
1.738 5.441 2.099 Sm
1.881 11.436 2.099 Sm
2.733 8.613 0.000 Sm
4.505 3.376 0.000 Sm
5.357 0.553 2.099 Sm
5.500 6.547 2.099 Sm
6.352 9.370 0.000 Sm
0.000 0.000 0.000 Ge
3.619 5.994 0.000 Ge
0.759 8.269 2.099 S
2.860 2.275 2.099 S
4.378 9.714 2.099 S
6.479 3.720 2.099 S
```

Top 6 peaks for 15° ≤ 2θ ≤ 90°, in order of falling intensity:
| 2θ (°) | Rel. int. |
| --- | --- |
| 25.91 | 100 |
| 32.33 | 76 |
| 33.54 | 75 |
| 25.68 | 69 |
| 28.77 | 63 |
| 36.03 | 57 |

(2)
Theoretical powder diffraction line list of Sm5GeS5 for Cu Kα, from DFT lattice parameters and positions (PBE).
No peak broadening, texture or thermal motion is included.

Structure:
```
Sm5GeS5
1.0
6.433 -2.860 0.000
6.433 2.860 0.000
-2.562 0.000 7.725
Sm Ge S
5 1 5
Cartesian
0.000 0.000 0.000 Sm
2.600 0.000 5.117 Sm
3.906 0.000 1.364 Sm
6.398 0.000 6.360 Sm
7.704 0.000 2.607 Sm
6.433 0.000 0.000 Ge
1.337 0.000 2.565 S
0.067 0.000 6.510 S
5.152 0.000 3.862 S
10.237 0.000 1.215 S
8.967 0.000 5.160 S
```

Top 6 peaks for 15° ≤ 2θ ≤ 90°, in order of falling intensity:
| 2θ (°) | Rel. int. |
| --- | --- |
| 31.08 | 100 |
| 26.89 | 74 |
| 44.67 | 72 |
| 31.28 | 50 |
| 55.42 | 37 |
| 44.52 | 36 |